(1)
Diffraction record for TlIn. The powder diffraction line list is simulated, not measured: it uses a cell relaxed with PBE and Cu Kα.
Lines closer than 0.1° are merged.

Structural model:
```
4
Lattice="3.3451 0.0000 0.0000 0.0000 5.5051 0.0000 -1.2132 0.0000 6.3548" Properties=species:S:1:pos:R:3 pbc="T T T"
Tl 0.0380 1.3763 2.2273
Tl 2.0938 4.1288 4.1275
In 0.5443 1.3763 5.5066
In 1.5875 4.1288 0.8481
```

Largest 12 diffraction maxima, by angle, 10 to 90 degrees two-theta:
4.161 Å, rel. 7
2.821 Å, rel. 14
2.751 Å, rel. 100
2.718 Å, rel. 16
2.534 Å, rel. 7
1.955 Å, rel. 6
1.934 Å, rel. 12
1.668 Å, rel. 6
1.594 Å, rel. 6
1.589 Å, rel. 18
1.576 Å, rel. 7
1.376 Å, rel. 7

---

(2)
Diffraction record for SmTh4Se5. The powder diffraction line list is simulated, not measured: it uses a cell relaxed with PBE and Cu Kα.
Lines closer than 0.1° are merged.

Structural model:
```
10
Lattice="-2.0987 2.9697 10.4875 2.0987 -2.9697 10.4875 2.0987 2.9697 -10.4875" Properties=species:S:1:pos:R:3 pbc="T T T"
Sm 0.0000 0.0000 0.0000
Th 0.0000 0.0000 4.1994
Th 0.0000 0.0000 8.3781
Th 0.0000 0.0000 12.5970
Th 0.0000 0.0000 16.7756
Se 2.0987 0.0000 2.0639
Se 2.0987 0.0000 6.2927
Se 0.0000 2.9697 0.0000
Se 0.0000 2.9697 4.1948
Se 0.0000 2.9697 8.4236
```

Largest 12 diffraction maxima, by angle, 10 to 90 degrees two-theta:
5.715 Å, rel. 1
3.427 Å, rel. 37
3.258 Å, rel. 1
2.968 Å, rel. 100
2.099 Å, rel. 76
1.790 Å, rel. 19
1.714 Å, rel. 27
1.484 Å, rel. 13
1.362 Å, rel. 8
1.327 Å, rel. 35
1.212 Å, rel. 26
1.142 Å, rel. 6

---

(3)
Diffraction record for Bi2SbPd4. The powder diffraction line list is simulated, not measured: it uses a cell relaxed with PBE and Cu Kα.
Lines closer than 0.1° are merged.

Structural model:
```
7
Lattice="2.2497 -10.6163 0.0000 2.2497 10.6163 0.0000 0.0000 0.0000 3.2791" Properties=species:S:1:pos:R:3 pbc="T T T"
Bi 2.2497 6.7097 0.0000
Bi 2.2497 -6.7097 0.0000
Sb 2.2497 0.0000 1.6395
Pd 2.2497 9.1018 1.6395
Pd 2.2497 2.2178 0.0000
Pd 2.2497 -2.2178 0.0000
Pd 2.2497 -9.1018 1.6395
```

Largest 12 diffraction maxima, by angle, 10 to 90 degrees two-theta:
3.797 Å, rel. 31
3.133 Å, rel. 31
3.088 Å, rel. 13
2.515 Å, rel. 12
2.249 Å, rel. 100
2.089 Å, rel. 21
1.827 Å, rel. 13
1.640 Å, rel. 9
1.377 Å, rel. 9
1.325 Å, rel. 9
1.298 Å, rel. 15
1.174 Å, rel. 11

---

(4)
Diffraction record for Ti2V2Ga5. The powder diffraction line list is simulated, not measured: it uses a cell relaxed with PBE and Cu Kα.
Lines closer than 0.1° are merged.

Structural model:
```
18
Lattice="-2.6925 7.7415 3.4665 2.6925 -7.7415 3.4665 2.6925 7.7415 -3.4665" Properties=species:S:1:pos:R:3 pbc="T T T"
Ti 0.0000 0.0000 0.0000
Ti 0.0000 3.8707 0.5984
Ti 0.0000 7.7415 0.0000
Ti 2.6925 3.8707 2.8681
V 2.6925 -0.4428 0.9096
V 2.6925 7.2987 -0.9096
V 0.0000 0.4428 4.3761
V 0.0000 8.1842 2.5570
Ga 1.3462 5.2011 -1.7333
Ga 1.3462 -2.5404 1.7333
Ga 2.6925 3.8707 0.2399
Ga 1.3462 9.4506 -1.7333
Ga 1.3462 1.7091 1.7333
Ga -1.3462 6.0323 1.7333
Ga 1.3462 6.0323 1.7333
Ga 0.0000 3.8707 3.2266
Ga -1.3462 10.2819 1.7333
Ga 1.3462 10.2819 1.7333
```

Largest 12 diffraction maxima, by angle, 10 to 90 degrees two-theta:
3.467 Å, rel. 22
2.582 Å, rel. 89
2.257 Å, rel. 39
2.210 Å, rel. 100
2.126 Å, rel. 81
2.108 Å, rel. 79
2.049 Å, rel. 30
1.374 Å, rel. 32
1.346 Å, rel. 13
1.228 Å, rel. 21
1.194 Å, rel. 14
1.135 Å, rel. 19

---

(5)
Diffraction record for Er3Tm2Hg4. The powder diffraction line list is simulated, not measured: it uses a cell relaxed with PBE and Cu Kα.
Lines closer than 0.1° are merged.

Structural model:
```
18
Lattice="3.4479 -8.9814 0.0000 3.4479 8.9814 0.0000 0.0000 0.0000 7.8520" Properties=species:S:1:pos:R:3 pbc="T T T"
Er 0.0000 0.0000 0.0000
Er 1.7240 4.2865 1.9630
Er 1.7240 -4.2865 5.8890
Er 3.4479 0.0000 3.9260
Er 5.1719 4.2865 1.9630
Er 5.1719 -4.2865 5.8890
Tm 3.4479 7.2860 3.2356
Tm 3.4479 1.6953 7.1616
Tm 3.4479 -1.6953 0.6904
Tm 3.4479 -7.2860 4.6165
Hg 3.4479 6.0194 0.2771
Hg 1.7240 1.2230 1.9630
Hg 1.7240 -1.2230 5.8890
Hg 3.4479 2.9620 4.2031
Hg 3.4479 -2.9620 3.6489
Hg 5.1719 1.2230 1.9630
Hg 5.1719 -1.2230 5.8890
Hg 3.4479 -6.0194 7.5749
```

Largest 12 diffraction maxima, by angle, 10 to 90 degrees two-theta:
2.978 Å, rel. 51
2.960 Å, rel. 23
2.952 Å, rel. 55
2.735 Å, rel. 18
2.591 Å, rel. 100
2.513 Å, rel. 36
2.381 Å, rel. 42
2.300 Å, rel. 21
2.261 Å, rel. 33
1.880 Å, rel. 19
1.724 Å, rel. 22
1.482 Å, rel. 31

---

(6)
Diffraction record for TbDy7Tl5. The powder diffraction line list is simulated, not measured: it uses a cell relaxed with PBE and Cu Kα.
Lines closer than 0.1° are merged.

Structural model:
```
13
Lattice="-3.2633 5.4151 5.4236 3.2633 -5.4151 5.4236 3.2633 5.4151 -5.4236" Properties=species:S:1:pos:R:3 pbc="T T T"
Tb 0.0000 0.0000 0.0000
Dy 3.2633 2.0710 -0.4303
Dy 3.2633 0.0000 2.1895
Dy 3.2633 -1.7314 5.1669
Dy 0.0000 0.0000 3.6800
Dy 3.2633 1.7314 5.1669
Dy 0.0000 0.0000 7.1475
Dy 0.0000 3.3441 4.9934
Tl 1.6258 2.5852 2.3514
Tl 4.9008 2.5852 2.3514
Tl 0.0000 5.4151 2.5459
Tl -1.6375 2.8299 7.7751
Tl 1.6375 2.8299 7.7751
```

Largest 12 diffraction maxima, by angle, 10 to 90 degrees two-theta:
5.421 Å, rel. 26
3.161 Å, rel. 38
2.796 Å, rel. 86
2.730 Å, rel. 78
2.710 Å, rel. 71
2.485 Å, rel. 100
2.439 Å, rel. 22
2.423 Å, rel. 49
1.762 Å, rel. 21
1.580 Å, rel. 35
1.569 Å, rel. 20
1.518 Å, rel. 21

---

(7)
Diffraction record for CsSi3Au3. The powder diffraction line list is simulated, not measured: it uses a cell relaxed with PBE and Cu Kα.
Lines closer than 0.1° are merged.

Structural model:
```
14
Lattice="7.0414 0.0000 0.0000 0.0000 7.0414 0.0000 0.0000 0.0000 7.0414" Properties=species:S:1:pos:R:3 pbc="T T T"
Cs 0.0000 0.0000 0.0000
Cs 3.5207 3.5207 3.5207
Si 0.0000 1.7603 3.5207
Si 0.0000 5.2810 3.5207
Si 1.7603 3.5207 0.0000
Si 3.5207 0.0000 1.7603
Si 3.5207 0.0000 5.2810
Si 5.2810 3.5207 0.0000
Au 0.0000 3.5207 1.7603
Au 0.0000 3.5207 5.2810
Au 1.7603 0.0000 3.5207
Au 3.5207 1.7603 0.0000
Au 3.5207 5.2810 0.0000
Au 5.2810 0.0000 3.5207
```

Largest 12 diffraction maxima, by angle, 10 to 90 degrees two-theta:
3.521 Å, rel. 38
3.149 Å, rel. 100
2.875 Å, rel. 89
2.033 Å, rel. 27
1.953 Å, rel. 27
1.882 Å, rel. 52
1.760 Å, rel. 27
1.537 Å, rel. 25
1.308 Å, rel. 23
1.286 Å, rel. 15
1.245 Å, rel. 18
1.142 Å, rel. 16

---

(8)
Diffraction record for AlInBr4. The powder diffraction line list is simulated, not measured: it uses a cell relaxed with PBE and Cu Kα.
Lines closer than 0.1° are merged.

Structural model:
```
24
Lattice="9.1601 0.0000 0.0000 0.0000 7.8595 0.0000 -3.2345 0.0000 12.9313" Properties=species:S:1:pos:R:3 pbc="T T T"
Al 0.5394 1.6837 5.8363
Al -1.0778 6.1758 12.3019
Al 7.0035 1.6837 0.6294
Al 5.3862 6.1758 7.0950
In -2.4259 3.2913 9.6985
In -0.8086 4.5682 3.2328
In 3.7714 0.5408 3.2328
In 2.1542 7.3187 9.6985
Br 0.0375 2.1034 1.2904
Br -1.5797 5.7561 7.7561
Br -0.3892 0.4633 11.7337
Br 1.2281 7.3961 5.2680
Br 0.6702 1.9706 8.1561
Br 2.2874 5.8888 1.6905
Br 1.9221 3.2305 4.7629
Br 0.3048 4.6290 11.2286
Br 5.6208 3.2305 1.7027
Br 4.0035 4.6290 8.1684
Br 3.6382 1.9706 11.2408
Br 5.2555 5.8888 4.7752
Br 4.6975 0.4633 7.6633
Br 6.3148 7.3961 1.1976
Br 7.5053 2.1034 5.1752
Br 5.8881 5.7561 11.6409
```

Largest 12 diffraction maxima, by angle, 10 to 90 degrees two-theta:
5.887 Å, rel. 35
3.508 Å, rel. 32
3.306 Å, rel. 31
3.281 Å, rel. 43
3.238 Å, rel. 100
3.048 Å, rel. 36
2.981 Å, rel. 27
2.976 Å, rel. 37
2.904 Å, rel. 38
2.787 Å, rel. 27
2.499 Å, rel. 49
1.700 Å, rel. 23

---

(9)
Diffraction record for Cd5Cu24. The powder diffraction line list is simulated, not measured: it uses a cell relaxed with PBE and Cu Kα.
Lines closer than 0.1° are merged.

Structural model:
```
29
Lattice="-4.6108 4.6108 4.6108 4.6108 -4.6108 4.6108 4.6108 4.6108 -4.6108" Properties=species:S:1:pos:R:3 pbc="T T T"
Cd 0.0000 0.0000 0.0000
Cd 1.6961 1.6961 -1.6961
Cd 1.6961 -1.6961 1.6961
Cd -1.6961 1.6961 1.6961
Cd 2.9147 2.9147 2.9147
Cu 4.2382 1.2497 -1.2497
Cu 4.2382 -1.2497 1.2497
Cu 6.5773 0.8718 -0.8718
Cu 6.5773 -0.8718 0.8718
Cu 2.6443 0.8718 0.8718
Cu 3.7390 3.7390 -1.9665
Cu 3.7390 -1.9665 3.7390
Cu 4.9834 1.2497 1.2497
Cu 1.2497 4.2382 -1.2497
Cu 1.2497 -1.2497 4.2382
Cu 0.8718 2.6443 0.8718
Cu 0.8718 0.8718 2.6443
Cu 3.3611 3.3611 0.3726
Cu 3.3611 0.3726 3.3611
Cu -1.2497 4.2382 1.2497
Cu -1.2497 1.2497 4.2382
Cu 0.8718 6.5773 -0.8718
Cu 0.8718 -0.8718 6.5773
Cu 1.2497 4.9834 1.2497
Cu 1.2497 1.2497 4.9834
Cu 0.3726 3.3611 3.3611
Cu -0.8718 6.5773 0.8718
Cu -0.8718 0.8718 6.5773
Cu -1.9665 3.7390 3.7390
```

Largest 12 diffraction maxima, by angle, 10 to 90 degrees two-theta:
2.465 Å, rel. 7
2.305 Å, rel. 5
2.174 Å, rel. 100
1.966 Å, rel. 22
1.882 Å, rel. 11
1.809 Å, rel. 6
1.496 Å, rel. 5
1.331 Å, rel. 5
1.304 Å, rel. 11
1.255 Å, rel. 20
1.171 Å, rel. 5
1.118 Å, rel. 4

---

Please write out number 6 again, unchanged.
Diffraction record for TbDy7Tl5. The powder diffraction line list is simulated, not measured: it uses a cell relaxed with PBE and Cu Kα.
Lines closer than 0.1° are merged.

Structural model:
```
13
Lattice="-3.2633 5.4151 5.4236 3.2633 -5.4151 5.4236 3.2633 5.4151 -5.4236" Properties=species:S:1:pos:R:3 pbc="T T T"
Tb 0.0000 0.0000 0.0000
Dy 3.2633 2.0710 -0.4303
Dy 3.2633 0.0000 2.1895
Dy 3.2633 -1.7314 5.1669
Dy 0.0000 0.0000 3.6800
Dy 3.2633 1.7314 5.1669
Dy 0.0000 0.0000 7.1475
Dy 0.0000 3.3441 4.9934
Tl 1.6258 2.5852 2.3514
Tl 4.9008 2.5852 2.3514
Tl 0.0000 5.4151 2.5459
Tl -1.6375 2.8299 7.7751
Tl 1.6375 2.8299 7.7751
```

Largest 12 diffraction maxima, by angle, 10 to 90 degrees two-theta:
5.421 Å, rel. 26
3.161 Å, rel. 38
2.796 Å, rel. 86
2.730 Å, rel. 78
2.710 Å, rel. 71
2.485 Å, rel. 100
2.439 Å, rel. 22
2.423 Å, rel. 49
1.762 Å, rel. 21
1.580 Å, rel. 35
1.569 Å, rel. 20
1.518 Å, rel. 21